Record 1
Diffraction record for CdIn2SnAu2. The PXRD pattern is computed, not measured: it uses the PBE geometry in Alexandria and a wavelength of 1.5418 Å.

Cell and atoms:
Cell: 4.7393 4.7393 22.8644 Å, 90.00 90.00 120.00°
Space group R3m (No. 160, hexagonal axes)
Unique sites:
Cd (0.0000, 0.0000, 0.0000) (multiplicity 3)
In (0.0000, 0.0000, 0.2528) (multiplicity 3)
In (0.0000, 0.0000, 0.7448) (multiplicity 3)
Sn (0.0000, 0.0000, 0.5015) (multiplicity 3)
Au (0.0000, 0.0000, 0.3769) (multiplicity 3)
Au (0.0000, 0.0000, 0.8730) (multiplicity 3)

Principal peaks in the range 10 to 90 degrees two-theta, sorted by position:
two_theta  d (Å)  I/Imax  hkl
23.0  3.863  72  0 1 2
23.3  3.811  26  0 0 6
38.0  2.370  100  1 1 0
38.4  2.345  95  0 1 8
44.9  2.020  13  2 0 2
45.1  2.012  28  1 1 6
45.4  1.997  11  1 0 10
55.1  1.667  33  2 0 8
68.6  1.368  18  3 0 0
68.9  1.363  34  1 2 8
69.7  1.350  16  1 0 16
81.2  1.185  11  2 2 0

Record 2
Diffraction record for Ca2Ac12Pm. The PXRD pattern is computed, not measured: it uses the PBE geometry in Alexandria and a wavelength of 1.5418 Å.

Cell and atoms:
Cell: 7.1907 7.1907 28.0686 Å, 90.00 90.00 90.00°
Space group P4/nbm (No. 125, origin choice 2)
Unique sites:
Ca (0.2500, 0.7500, 0.2279) (multiplicity 4)
Ac (0.0642, 0.5642, 0.3928) (multiplicity 8)
Ac (0.0785, 0.5785, 0.0606) (multiplicity 8)
Ac (0.2500, 0.2500, 0.1620) (multiplicity 4)
Ac (0.2500, 0.2500, 0.2912) (multiplicity 4)
Pm (0.2500, 0.7500, 0.5000) (multiplicity 2)

Principal peaks in the range 10 to 90 degrees two-theta, sorted by position:
two_theta  d (Å)  I/Imax  hkl
18.6  4.780  80  1 1 2
25.6  3.483  57  2 0 2
26.6  3.356  31  2 0 3
27.9  3.197  56  2 0 4
28.3  3.149  55  1 1 7
28.6  3.119  68  0 0 9
29.4  3.041  100  2 1 3
31.4  2.851  50  2 0 6
33.8  2.650  50  2 1 6
35.3  2.542  41  2 2 0
39.6  2.274  35  3 1 0
49.6  1.837  39  3 1 9

Record 3
Diffraction record for Hg3PdAu. The PXRD pattern is computed, not measured: it uses the PBE geometry in Alexandria and a wavelength of 1.5418 Å.

Cell and atoms:
Cell: 14.9591 13.7138 4.4785 Å, 90.00 107.23 90.00°
Space group C2/c (No. 15)
Unique sites:
Hg (0.1033, 0.0888, 0.3562) (multiplicity 8)
Hg (0.1275, 0.4155, 0.3774) (multiplicity 8)
Hg (0.1290, 0.2510, 0.8791) (multiplicity 8)
Pd (0.0000, 0.2627, 0.2500) (multiplicity 4)
Pd (0.0000, 0.4147, 0.7500) (multiplicity 4)
Au (0.2369, 0.0765, 0.9876) (multiplicity 8)

Principal peaks in the range 10 to 90 degrees two-theta, sorted by position:
two_theta  d (Å)  I/Imax  hkl
24.3  3.657  9  3 1 -1
24.9  3.572  7  4 0 0
27.9  3.199  13  1 3 -1
37.7  2.383  100  3 3 1
39.4  2.286  23  0 6 0
40.3  2.239  23  2 0 -2
51.1  1.786  8  8 0 0
57.6  1.600  16  2 6 -2
66.4  1.407  7  8 6 0
70.4  1.338  16  3 9 1
71.5  1.320  9  1 3 3
71.6  1.317  8  7 3 -3

Record 4
Diffraction record for Dy3Be. The PXRD pattern is computed, not measured: it uses the PBE geometry in Alexandria and a wavelength of 1.5418 Å.

Cell and atoms:
Cell: 3.5945 5.1428 11.1296 Å, 90.00 90.00 90.00°
Space group Immm (No. 71)
Unique sites:
Dy (0.0000, 0.0000, 0.0000) (multiplicity 2)
Dy (0.0000, 0.5000, 0.2053) (multiplicity 4)
Be (0.0000, 0.0000, 0.5000) (multiplicity 2)

Principal peaks in the range 10 to 90 degrees two-theta, sorted by position:
two_theta  d (Å)  I/Imax  hkl
26.1  3.421  31  1 0 1
29.7  3.009  59  0 1 3
32.2  2.782  15  0 0 4
34.4  2.604  100  1 1 2
34.9  2.571  30  0 2 0
44.1  2.055  16  1 2 1
48.1  1.892  23  1 0 5
50.8  1.797  10  2 0 0
60.0  1.543  16  2 1 3
60.8  1.524  23  1 2 5
62.3  1.491  18  1 3 2
63.1  1.473  11  2 2 0